Record 1
Structure and calculated PXRD pattern of Ba2YSbO6 (a crystal structure in the Materials Project, relaxed with PBE; copper Kα).

Cell and atoms:
```
data_Ba2YSbO6
_space_group_name_H-M_alt 'F m -3 m'
_space_group_IT_number 225
_space_group_name_Hall '-F 4 2 3'
_cell_length_a 8.530
_cell_length_b 8.530
_cell_length_c 8.530
_cell_angle_alpha 90.00
_cell_angle_beta 90.00
_cell_angle_gamma 90.00
loop_
_atom_site_label
_atom_site_type_symbol
_atom_site_fract_x
_atom_site_fract_y
_atom_site_fract_z
Ba1 Ba 0.250 0.250 0.250
Y1 Y 0.000 0.000 0.000
Sb1 Sb 0.000 0.000 0.500
O1 O 0.000 0.000 0.263
```

Principal peaks in the range 2θ from 10° to 80°, in order of rising 2θ:
2theta	intensity	hkl
18.01	2	1 1 1
29.62	100	2 2 0
36.49	4	2 2 2
42.38	31	4 0 0
52.56	40	4 2 2
61.49	19	4 4 0
69.72	18	6 2 0
77.53	6	4 4 4

---

Record 2
Structure and calculated PXRD pattern of Ba2YSbO6 (a crystal structure in the Materials Project, relaxed with PBE; copper Kα).

Cell and atoms:
```
data_Ba2YSbO6
_space_group_name_H-M_alt 'P n -3'
_space_group_IT_number 201
_cell_length_a 8.525
_cell_length_b 8.525
_cell_length_c 8.525
_cell_angle_alpha 90.00
_cell_angle_beta 90.00
_cell_angle_gamma 90.00
loop_
_space_group_symop_operation_xyz
'x,y,z'
'-x,-y,-z'
'-x+1/2,-y+1/2,z'
'x+1/2,y+1/2,-z'
'x,-y+1/2,-z+1/2'
'-x,y+1/2,z+1/2'
'-x+1/2,y,-z+1/2'
'x+1/2,-y,z+1/2'
'z,x,y'
'-z,-x,-y'
'z,-x+1/2,-y+1/2'
'-z,x+1/2,y+1/2'
'-z+1/2,x,-y+1/2'
'z+1/2,-x,y+1/2'
'-z+1/2,-x+1/2,y'
'z+1/2,x+1/2,-y'
'y,z,x'
'-y,-z,-x'
'-y+1/2,z,-x+1/2'
'y+1/2,-z,x+1/2'
'-y+1/2,-z+1/2,x'
'y+1/2,z+1/2,-x'
'y,-z+1/2,-x+1/2'
'-y,z+1/2,x+1/2'
loop_
_atom_site_label
_atom_site_type_symbol
_atom_site_fract_x
_atom_site_fract_y
_atom_site_fract_z
Ba1 Ba 0.250 0.250 0.250
Ba2 Ba 0.250 0.250 0.750
Y1 Y 0.000 0.000 0.000
Sb1 Sb 0.000 0.000 0.500
O1 O 0.007 0.508 0.764
```

Principal peaks in the range 2θ from 10° to 80°, in order of rising 2θ:
2theta	intensity	hkl
18.02	2	1 1 1
29.64	100	2 2 0
36.51	4	2 2 2
42.41	31	4 0 0
52.60	40	4 2 2
61.54	19	4 4 0
69.77	18	6 2 0
77.59	6	4 4 4

---

Record 3
Structure and calculated PXRD pattern of Ba2YSb3O8 (a crystal structure in the Materials Project, relaxed with PBE; copper Kα).

Cell and atoms:
```
data_Ba2YSb3O8
_space_group_name_H-M_alt 'P 4/m m m'
_space_group_IT_number 123
_space_group_name_Hall '-P 4 2'
_cell_length_a 4.371
_cell_length_b 4.371
_cell_length_c 12.150
_cell_angle_alpha 90.00
_cell_angle_beta 90.00
_cell_angle_gamma 90.00
loop_
_atom_site_label
_atom_site_type_symbol
_atom_site_fract_x
_atom_site_fract_y
_atom_site_fract_z
Ba1 Ba 0.000 0.000 0.164
Y1 Y 0.000 0.000 0.500
Sb1 Sb 0.500 0.500 0.000
Sb2 Sb 0.500 0.500 0.362
O1 O 0.000 0.500 0.000
O2 O 0.000 0.500 0.382
O3 O 0.500 0.500 0.190
```

Principal peaks in the range 2θ from 10° to 80°, in order of rising 2θ:
2theta	intensity	hkl
28.89	55	1 1 0
30.08	100	1 0 3
41.31	35	2 0 0
51.94	43	2 1 3
54.15	16	1 1 6
59.84	11	2 2 0
62.53	11	2 0 6
67.79	10	3 1 0

---

Record 4
Structure and calculated PXRD pattern of Ba3ZnSb2O9 (a crystal structure in the Materials Project, relaxed with PBE; copper Kα).

Cell and atoms:
```
data_Ba3ZnSb2O9
_space_group_name_H-M_alt 'P 63/m m c'
_space_group_IT_number 194
_space_group_name_Hall '-P 6c 2c'
_cell_length_a 5.9457
_cell_length_b 5.9457
_cell_length_c 14.6753
_cell_angle_alpha 90.00
_cell_angle_beta 90.00
_cell_angle_gamma 120.00
loop_
_atom_site_label
_atom_site_type_symbol
_atom_site_fract_x
_atom_site_fract_y
_atom_site_fract_z
Ba1 Ba 0.0000 0.0000 0.2500
Ba2 Ba 0.3333 0.6667 0.0892
Zn1 Zn 0.0000 0.0000 0.0000
Sb1 Sb 0.3333 0.6667 0.6516
O1 O 0.0369 0.5184 0.7500
O2 O 0.1691 0.3382 0.5844
```

Principal peaks in the range 2θ from 10° to 80°, in order of rising 2θ:
2theta	intensity	hkl
25.11	15	1 0 3
29.90	59	1 0 4
30.06	100	1 1 0
35.20	21	1 0 5
39.56	14	2 0 3
42.91	35	2 0 4
53.33	43	3 0 0
62.48	19	2 2 0

---

Record 5
Structure and calculated PXRD pattern of BaZnSb4O8 (a crystal structure in the Materials Project, relaxed with PBE; copper Kα).

Cell and atoms:
```
data_BaZnSb4O8
_space_group_name_H-M_alt 'P -3 1 m'
_space_group_IT_number 162
_space_group_name_Hall '-P 3 2'
_cell_length_a 6.1414
_cell_length_b 6.1414
_cell_length_c 7.1770
_cell_angle_alpha 90.00
_cell_angle_beta 90.00
_cell_angle_gamma 120.00
loop_
_atom_site_label
_atom_site_type_symbol
_atom_site_fract_x
_atom_site_fract_y
_atom_site_fract_z
Ba1 Ba 0.0000 0.0000 0.0000
Zn1 Zn 0.0000 0.0000 0.5000
Sb1 Sb 0.3333 0.6667 0.2825
O1 O 0.0000 0.2879 0.2973
O2 O 0.3333 0.6667 0.0000
```

Principal peaks in the range 2θ from 10° to 80°, in order of rising 2θ:
2theta	intensity	hkl
29.08	100	1 1 0
30.04	62	1 0 2
42.30	29	2 0 2
48.22	12	1 1 3
51.55	27	3 0 0
52.15	30	2 1 2
59.69	17	2 -1 4
60.28	13	2 2 0

---

Record 6
Structure and calculated PXRD pattern of BaSc2O4 (a crystal structure in the Materials Project, relaxed with PBE; copper Kα).

Cell and atoms:
```
data_BaSc2O4
_space_group_name_H-M_alt 'C 1 2/c 1'
_space_group_IT_number 15
_space_group_name_Hall '-C 2yc'
_cell_length_a 9.927
_cell_length_b 5.877
_cell_length_c 20.740
_cell_angle_alpha 90.00
_cell_angle_beta 90.04
_cell_angle_gamma 90.00
loop_
_atom_site_label
_atom_site_type_symbol
_atom_site_fract_x
_atom_site_fract_y
_atom_site_fract_z
Ba1 Ba 0.000 0.107 0.250
Ba2 Ba 0.166 0.392 0.638
Sc1 Sc 0.002 0.115 0.429
Sc2 Sc 0.163 0.379 0.947
Sc3 Sc 0.168 0.392 0.805
O1 O 0.000 0.427 0.750
O2 O 0.000 0.500 0.000
O3 O 0.068 0.162 0.876
O4 O 0.107 0.357 0.381
O5 O 0.152 0.055 0.997
O6 O 0.170 0.148 0.125
O7 O 0.236 0.133 0.749
```

Principal peaks in the range 2θ from 10° to 80°, in order of rising 2θ:
2theta	intensity	hkl
27.82	29	1 1 5
30.73	59	0 2 1
31.02	58	3 1 0
31.34	100	1 1 6
31.53	49	2 0 -6
41.83	43	2 2 -5
44.98	28	4 0 6
47.25	33	2 2 -7

---

Record 7
Structure and calculated PXRD pattern of BaScO3 (a crystal structure in the Materials Project, relaxed with PBE; copper Kα).

Cell and atoms:
```
data_BaScO3
_space_group_name_H-M_alt 'P m -3 m'
_space_group_IT_number 221
_space_group_name_Hall '-P 4 2 3'
_cell_length_a 4.220
_cell_length_b 4.220
_cell_length_c 4.220
_cell_angle_alpha 90.00
_cell_angle_beta 90.00
_cell_angle_gamma 90.00
loop_
_atom_site_label
_atom_site_type_symbol
_atom_site_fract_x
_atom_site_fract_y
_atom_site_fract_z
Ba1 Ba 0.000 0.000 0.000
Sc1 Sc 0.500 0.500 0.500
O1 O 0.000 0.500 0.500
```

Principal peaks in the range 2θ from 10° to 80°, in order of rising 2θ:
2theta	intensity	hkl
21.05	21	1 0 0
29.95	100	1 1 0
36.90	28	1 1 1
42.86	36	2 0 0
48.22	11	2 1 0
53.17	39	2 1 1
62.23	22	2 2 0
70.58	17	3 1 0

---

Record 8
Structure and calculated PXRD pattern of Ba9Sc2Si6O24 (a crystal structure in the Materials Project, relaxed with PBE; copper Kα).

Cell and atoms:
```
data_Ba9Sc2Si6O24
_space_group_name_H-M_alt 'R -3'
_space_group_IT_number 148
_space_group_name_Hall '-R 3'
_cell_length_a 9.9998
_cell_length_b 9.9998
_cell_length_c 22.2347
_cell_angle_alpha 90.00
_cell_angle_beta 90.00
_cell_angle_gamma 120.00
loop_
_atom_site_label
_atom_site_type_symbol
_atom_site_fract_x
_atom_site_fract_y
_atom_site_fract_z
Ba1 Ba 0.0000 0.0000 0.0000
Ba2 Ba 0.0000 0.0000 0.3366
Ba3 Ba 0.0046 0.3105 0.5581
Sc1 Sc 0.0000 0.0000 0.1648
Si1 Si 0.0055 0.3594 0.4097
O1 O 0.0049 0.1993 0.4263
O2 O 0.0092 0.1770 0.7812
O3 O 0.0102 0.8333 0.8941
O4 O 0.0242 0.4105 0.3398
```

Principal peaks in the range 2θ from 10° to 80°, in order of rising 2θ:
2theta	intensity	hkl
21.44	76	1 1 3
30.01	100	2 -1 6
30.98	100	3 0 0
36.37	22	0 0 9
37.98	41	4 -2 3
43.68	51	2 2 6
48.50	28	0 3 9
54.51	30	5 -1 6

---

What did the fourth record say?
Structure and calculated PXRD pattern of Ba3ZnSb2O9 (a crystal structure in the Materials Project, relaxed with PBE; copper Kα).

Cell and atoms:
```
data_Ba3ZnSb2O9
_space_group_name_H-M_alt 'P 63/m m c'
_space_group_IT_number 194
_space_group_name_Hall '-P 6c 2c'
_cell_length_a 5.9457
_cell_length_b 5.9457
_cell_length_c 14.6753
_cell_angle_alpha 90.00
_cell_angle_beta 90.00
_cell_angle_gamma 120.00
loop_
_atom_site_label
_atom_site_type_symbol
_atom_site_fract_x
_atom_site_fract_y
_atom_site_fract_z
Ba1 Ba 0.0000 0.0000 0.2500
Ba2 Ba 0.3333 0.6667 0.0892
Zn1 Zn 0.0000 0.0000 0.0000
Sb1 Sb 0.3333 0.6667 0.6516
O1 O 0.0369 0.5184 0.7500
O2 O 0.1691 0.3382 0.5844
```

Principal peaks in the range 2θ from 10° to 80°, in order of rising 2θ:
2theta	intensity	hkl
25.11	15	1 0 3
29.90	59	1 0 4
30.06	100	1 1 0
35.20	21	1 0 5
39.56	14	2 0 3
42.91	35	2 0 4
53.33	43	3 0 0
62.48	19	2 2 0